1.
This entry pairs a crystal structure of Te3Pb with its simulated powder X-ray diffraction pattern. Radiation: Cu Kα, 1.54184 Å. Structure: DFT lattice parameters and positions (PBE).
Kinematic intensities with the Lorentz-polarization factor, no thermal factor.

Atomic structure:
```
data_Te3Pb
_chemical_formula_sum 'Te12 Pb4'
_cell_length_a 8.009
_cell_length_b 8.152
_cell_length_c 8.948
_cell_angle_alpha 90.00
_cell_angle_beta 90.00
_cell_angle_gamma 90.00
_space_group_name_H-M_alt 'P n m a'
_space_group_IT_number 62
loop_
_space_group_symop_operation_xyz
'x,y,z'
'-x,-y,-z'
'-x+1/2,-y,z+1/2'
'x+1/2,y,-z+1/2'
'x+1/2,-y+1/2,-z+1/2'
'-x+1/2,y+1/2,z+1/2'
'-x,y+1/2,-z'
'x,-y+1/2,z'
loop_
_atom_site_label
_atom_site_fract_x
_atom_site_fract_y
_atom_site_fract_z
Te1 0.064 0.250 0.234
Te2 0.240 0.004 0.872
Pb1 0.064 0.250 0.608
```

The 6 most intense peaks (10 to 90 degrees two-theta), most intense first:
2θ/deg, I/Imax
31.32, 100
31.73, 96
39.29, 70
25.29, 64
24.77, 45
31.95, 43

2.
This entry pairs a crystal structure of Th5Te5Pb with its simulated powder X-ray diffraction pattern. Radiation: Cu Kα, 1.54184 Å. Structure: DFT lattice parameters and positions (PBE).
Kinematic intensities with the Lorentz-polarization factor, no thermal factor.

Atomic structure:
```
data_Th5Te5Pb
_chemical_formula_sum 'Th10 Te10 Pb2'
_cell_length_a 14.052
_cell_length_b 6.310
_cell_length_c 8.877
_cell_angle_alpha 90.00
_cell_angle_beta 108.17
_cell_angle_gamma 90.00
_space_group_name_H-M_alt 'C 1 2/m 1'
_space_group_IT_number 12
loop_
_space_group_symop_operation_xyz
'x,y,z'
'-x,-y,-z'
'-x,y,-z'
'x,-y,z'
'x+1/2,y+1/2,z'
'-x+1/2,-y+1/2,-z'
'-x+1/2,y+1/2,-z'
'x+1/2,-y+1/2,z'
loop_
_atom_site_label
_atom_site_fract_x
_atom_site_fract_y
_atom_site_fract_z
Th1 0.000 0.000 0.000
Th2 0.166 0.500 0.335
Th3 0.176 0.500 0.839
Te1 0.000 0.500 0.500
Te2 0.155 0.000 0.344
Te3 0.156 0.000 0.811
Pb1 0.000 0.500 0.000
```

The 6 most intense peaks (10 to 90 degrees two-theta), most intense first:
2θ/deg, I/Imax
28.31, 100
40.52, 95
28.46, 49
50.22, 40
66.32, 31
73.64, 19